[1]
For TiTl2BF6, a DFT-relaxed cell (GGA-PBE, the Materials Project) gives the simulated XRD peak list in this record (CuKα).
Kinematic intensities with the Lorentz-polarization factor, no thermal factor.

The 8 most intense peaks (10 to 80 degrees two-theta), sorted by position:
- 20.41°, I 58, hkl 2 0 0
- 29.02°, I 100, hkl 2 2 0
- 35.75°, I 46, hkl 2 2 2
- 41.51°, I 35, hkl 4 0 0
- 46.68°, I 31, hkl 4 2 0
- 51.45°, I 41, hkl 4 2 2
- 60.15°, I 22, hkl 4 4 0
- 68.16°, I 19, hkl 6 2 0

Structure:
Cell: 8.7016 8.7016 8.7016 Å, 90.00 90.00 90.00°
Space group Fm-3m (No. 225)
Unique sites:
Ti (0.0000, 0.0000, 0.0000)
Tl (0.2500, 0.2500, 0.2500)
B (0.0000, 0.0000, 0.5000)
F (0.0000, 0.0000, 0.2277)


[2]
For TlBF4, a DFT-relaxed cell (GGA-PBE, the Materials Project) gives the simulated XRD peak list in this record (CuKα).
Kinematic intensities with the Lorentz-polarization factor, no thermal factor.

The 8 most intense peaks (10 to 80 degrees two-theta), sorted by position:
- 19.41°, I 59, hkl 0 1 1
- 21.66°, I 40, hkl 1 1 1
- 24.56°, I 54, hkl 2 1 0
- 25.71°, I 45, hkl 1 0 2
- 27.35°, I 60, hkl 2 1 1
- 38.60°, I 28, hkl 2 2 1
- 40.64°, I 100, hkl 1 1 3
- 40.93°, I 33, hkl 3 1 2

Structure:
Cell: 9.3004 5.7833 7.4678 Å, 90.00 90.00 90.00°
Space group Pnma (No. 62)
Unique sites:
Tl (0.1865, 0.2500, 0.1651)
B (0.0612, 0.2500, 0.6921)
F (0.0754, 0.7500, 0.3889)
F (0.0762, 0.0497, 0.8029)
F (0.1721, 0.2500, 0.5619)


[3]
For FeB, a DFT-relaxed cell (GGA-PBE, the Materials Project) gives the simulated XRD peak list in this record (CuKα).
Kinematic intensities with the Lorentz-polarization factor, no thermal factor.

The 8 most intense peaks (10 to 80 degrees two-theta), sorted by position:
- 33.13°, I 29, hkl 2 0 0
- 37.92°, I 58, hkl 0 1 1
- 40.27°, I 34, hkl 2 0 1
- 41.56°, I 100, hkl 1 1 1
- 45.51°, I 65, hkl 2 1 0
- 48.56°, I 65, hkl 1 0 2
- 51.22°, I 32, hkl 2 1 1
- 55.95°, I 29, hkl 3 0 1

Structure:
Cell: 5.4082 2.9486 3.9976 Å, 90.00 90.00 90.00°
Space group Pnma (No. 62)
Unique sites:
Fe (0.1781, 0.2500, 0.1201)
B (0.0342, 0.2500, 0.6187)


[4]
For FeB, a DFT-relaxed cell (GGA-PBE, the Materials Project) gives the simulated XRD peak list in this record (CuKα).
Kinematic intensities with the Lorentz-polarization factor, no thermal factor.

The 8 most intense peaks (10 to 80 degrees two-theta), sorted by position:
- 35.52°, I 78, hkl 1 0 3
- 43.21°, I 77, hkl 1 0 5
- 45.40°, I 100, hkl 1 1 2
- 48.70°, I 25, hkl 0 0 8
- 53.03°, I 27, hkl 1 0 7
- 57.85°, I 21, hkl 1 1 6
- 63.46°, I 30, hkl 2 0 0
- 79.88°, I 21, hkl 2 1 5

Structure:
Cell: 2.9316 2.9316 14.9582 Å, 90.00 90.00 90.00°
Space group I4_1/amd (No. 141, origin choice 2)
Unique sites:
Fe (0.0000, 0.2500, 0.0710)
B (0.0000, 0.2500, 0.2151)


[5]
For FeB, a DFT-relaxed cell (GGA-PBE, the Materials Project) gives the simulated XRD peak list in this record (CuKα).
Kinematic intensities with the Lorentz-polarization factor, no thermal factor.

The 8 most intense peaks (10 to 80 degrees two-theta), sorted by position:
- 18.75°, I 100, hkl 1 1 0
- 29.68°, I 19, hkl 1 1 1
- 37.89°, I 52, hkl 2 1 1
- 42.72°, I 29, hkl 3 1 0
- 44.80°, I 29, hkl 2 2 1
- 48.63°, I 31, hkl 1 0 2
- 54.77°, I 19, hkl 3 2 1
- 54.87°, I 20, hkl 4 0 0

Structure:
Cell: 6.6929 6.6929 3.9001 Å, 90.00 90.00 90.00°
Space group P4_2/ncm (No. 138, origin choice 2)
Unique sites:
Fe (0.1209, 0.1209, 0.1307)
B (0.0717, 0.0717, 0.6344)


[6]
For FeB, a DFT-relaxed cell (GGA-PBE, the Materials Project) gives the simulated XRD peak list in this record (CuKα).
Kinematic intensities with the Lorentz-polarization factor, no thermal factor.

The 8 most intense peaks (10 to 80 degrees two-theta), sorted by position:
- 33.20°, I 47, hkl 1 1 0
- 38.76°, I 91, hkl 0 2 1
- 45.50°, I 100, hkl 1 1 1
- 48.08°, I 52, hkl 1 3 0
- 48.51°, I 26, hkl 0 4 0
- 57.84°, I 22, hkl 1 3 1
- 77.80°, I 20, hkl 2 2 1
- 78.77°, I 19, hkl 1 5 1

Structure:
Cell: 2.8919 7.5072 2.9581 Å, 90.00 90.00 90.00°
Space group Cmcm (No. 63)
Unique sites:
Fe (0.0000, 0.1415, 0.2500)
B (0.0000, 0.4302, 0.2500)


[7]
For Fe23B6, a DFT-relaxed cell (GGA-PBE, the Materials Project) gives the simulated XRD peak list in this record (CuKα).
Kinematic intensities with the Lorentz-polarization factor, no thermal factor.

The 8 most intense peaks (10 to 80 degrees two-theta), sorted by position:
- 37.93°, I 22, hkl 4 2 0
- 41.71°, I 29, hkl 4 2 2
- 44.37°, I 100, hkl 3 3 3
- 48.55°, I 22, hkl 4 4 0
- 50.93°, I 27, hkl 5 3 1
- 51.70°, I 12, hkl 6 0 0
- 76.15°, I 21, hkl 6 6 0
- 78.01°, I 12, hkl 5 5 5

Structure:
Cell: 10.6077 10.6077 10.6077 Å, 90.00 90.00 90.00°
Space group Fm-3m (No. 225)
Unique sites:
Fe (0.0000, 0.0000, 0.0000)
Fe (0.0000, 0.1711, 0.1711)
Fe (0.1188, 0.1188, 0.3812)
Fe (0.2500, 0.2500, 0.2500)
B (0.0000, 0.0000, 0.2764)